Starting from a PBE-relaxed structure, the X-ray diffraction stick pattern of Hg3F4 was calculated for copper Kα.
Peak positions follow from Bragg's law for the DFT cell and can differ from measured ones.

Crystal structure
```
Hg3F4
1.0
7.1463 -1.7955 0.0000
7.1463 1.7955 0.0000
-1.3356 0.0000 5.0736
Hg F
3 4
direct
0.0000 0.0000 0.0000
0.2907 0.2907 0.3550
0.7093 0.7093 0.6450
0.1572 0.1572 0.8832
0.4472 0.4472 0.7257
0.5528 0.5528 0.2743
0.8428 0.8428 0.1168
```

Peak list (6 most intense, 10° ≤ 2θ ≤ 90°, by angle)
- 24.26 deg, rel. 85
- 25.78 deg, rel. 37
- 30.23 deg, rel. 100
- 31.59 deg, rel. 50
- 41.47 deg, rel. 38
- 45.60 deg, rel. 47


Starting from a PBE-relaxed structure, the X-ray diffraction stick pattern of KLiH6Au3 was calculated for copper Kα.
Peak positions follow from Bragg's law for the DFT cell and can differ from measured ones.

Crystal structure
```
KLiH6Au3
1.0
3.5763 2.0648 3.2234
-3.5763 2.0648 3.2234
0.0000 -4.1296 3.2234
K Li H Au
1 1 6 3
direct
0.0000 0.0000 0.0000
0.3620 0.3620 0.3620
0.0698 0.1622 0.4881
0.1345 0.5697 0.6267
0.1622 0.4881 0.0698
0.4881 0.0698 0.1622
0.5697 0.6267 0.1345
0.6267 0.1345 0.5697
0.4018 0.5531 0.8498
0.5531 0.8498 0.4018
0.8498 0.4018 0.5531
```

Peak list (6 most intense, 10° ≤ 2θ ≤ 90°, by angle)
- 17.00 deg, rel. 87
- 23.34 deg, rel. 58
- 24.90 deg, rel. 69
- 27.67 deg, rel. 72
- 39.61 deg, rel. 100
- 42.92 deg, rel. 72